This entry pairs a crystal structure of KPtI6 with its computed PXRD pattern. Radiation: Cu Kα, 1.54184 Å. Structure: DFT lattice parameters and positions (PBE).
No peak broadening, texture or thermal motion is included.

The 8 most intense peaks (2θ = 10–90°), in order of falling intensity:
two_theta  I/Imax  index
13.2  100  0 0 1
30.2  79  1 1 1
15.7  65  1 -1 0
42.2  50  2 1 -3
15.6  44  1 0 -1
31.7  34  2 -2 0
31.5  34  2 0 -2
27.3  31  1 1 -2

Structural model:
```
data_KPtI6
_cell_length_a 6.953
_cell_length_b 7.270
_cell_length_c 7.308
_cell_angle_alpha 100.93
_cell_angle_beta 106.08
_cell_angle_gamma 105.50
_symmetry_space_group_name_H-M 'P 1'
_symmetry_Int_Tables_number 1
_symmetry_space_group_name_Hall 'P 1'
loop_
_atom_site_label
_atom_site_type_symbol
_atom_site_fract_x
_atom_site_fract_y
_atom_site_fract_z
K1 K 0.000 0.000 0.000
Pt1 Pt 0.000 0.500 0.500
I1 I 0.205 0.242 0.577
I2 I 0.205 0.579 0.244
I3 I 0.337 0.795 0.798
I4 I 0.663 0.205 0.202
I5 I 0.795 0.421 0.756
I6 I 0.795 0.758 0.423
```

=====

This entry pairs a crystal structure of NpSbBr6 with its computed PXRD pattern. Radiation: Cu Kα, 1.54184 Å. Structure: DFT lattice parameters and positions (PBE).
No peak broadening, texture or thermal motion is included.

The 8 most intense peaks (2θ = 10–90°), in order of falling intensity:
two_theta  I/Imax  index
29.4  100  1 3 1
13.5  82  0 2 0
16.9  81  1 1 -1
43.5  68  1 3 -3
31.3  45  2 0 -2
38.1  32  0 4 2
22.0  30  1 1 1
29.6  22  2 2 0

Structural model:
```
data_NpSbBr6
_cell_length_a 7.118
_cell_length_b 13.087
_cell_length_c 7.118
_cell_angle_alpha 90.00
_cell_angle_beta 106.82
_cell_angle_gamma 90.00
_symmetry_space_group_name_H-M 'P 1'
_symmetry_Int_Tables_number 1
_symmetry_space_group_name_Hall 'P 1'
loop_
_atom_site_label
_atom_site_type_symbol
_atom_site_fract_x
_atom_site_fract_y
_atom_site_fract_z
Np1 Np 0.000 0.000 0.000
Np2 Np 0.500 0.500 0.000
Sb1 Sb 0.000 0.500 0.500
Sb2 Sb 0.500 0.000 0.500
Br1 Br 0.242 0.353 0.747
Br2 Br 0.242 0.647 0.747
Br3 Br 0.245 0.000 0.747
Br4 Br 0.255 0.500 0.253
Br5 Br 0.258 0.147 0.253
Br6 Br 0.258 0.853 0.253
Br7 Br 0.742 0.147 0.747
Br8 Br 0.742 0.853 0.747
Br9 Br 0.745 0.500 0.747
Br10 Br 0.755 0.000 0.253
Br11 Br 0.758 0.353 0.253
Br12 Br 0.758 0.647 0.253
```

=====

What did the first record say?
This entry pairs a crystal structure of KPtI6 with its computed PXRD pattern. Radiation: Cu Kα, 1.54184 Å. Structure: DFT lattice parameters and positions (PBE).
No peak broadening, texture or thermal motion is included.

The 8 most intense peaks (2θ = 10–90°), in order of falling intensity:
two_theta  I/Imax  index
13.2  100  0 0 1
30.2  79  1 1 1
15.7  65  1 -1 0
42.2  50  2 1 -3
15.6  44  1 0 -1
31.7  34  2 -2 0
31.5  34  2 0 -2
27.3  31  1 1 -2

Structural model:
```
data_KPtI6
_cell_length_a 6.953
_cell_length_b 7.270
_cell_length_c 7.308
_cell_angle_alpha 100.93
_cell_angle_beta 106.08
_cell_angle_gamma 105.50
_symmetry_space_group_name_H-M 'P 1'
_symmetry_Int_Tables_number 1
_symmetry_space_group_name_Hall 'P 1'
loop_
_atom_site_label
_atom_site_type_symbol
_atom_site_fract_x
_atom_site_fract_y
_atom_site_fract_z
K1 K 0.000 0.000 0.000
Pt1 Pt 0.000 0.500 0.500
I1 I 0.205 0.242 0.577
I2 I 0.205 0.579 0.244
I3 I 0.337 0.795 0.798
I4 I 0.663 0.205 0.202
I5 I 0.795 0.421 0.756
I6 I 0.795 0.758 0.423
```